This entry pairs a crystal structure of AgSnH with its computed powder diffractogram. Radiation: Cu Kα. Structure: a DFT-relaxed cell (PBE, Alexandria).
No peak broadening, texture or thermal motion is included.

a b c (Å): 3.0419 3.0177 5.9236
angles (deg): 90.00 90.50 90.00
Fractional coordinates of all 3 atoms:
Ag (0.0000, 0.0000, 0.0000)
Sn (0.9934, 0.5000, 0.4416)
H (0.0006, 0.5000, 0.8114)

The 10 most intense peaks (5° ≤ 2θ ≤ 70°), in order of falling intensity:
| d_spacing | 2θ (°) | Rel. int. | h k l |
| --- | --- | --- | --- |
| 2.689 | 33.32 | 100 | 0 1 1 |
| 3.042 | 29.36 | 72 | 1 0 0 |
| 2.962 | 30.18 | 57 | 0 0 2 |
| 2.019 | 44.90 | 43 | 1 1 -1 |
| 2.011 | 45.09 | 42 | 1 1 1 |
| 2.113 | 42.79 | 29 | 1 0 2 |
| 2.131 | 42.41 | 23 | 1 0 -2 |
| 1.652 | 55.64 | 21 | 0 1 3 |
| 1.352 | 69.55 | 12 | 1 2 0 |
| 1.456 | 63.93 | 12 | 1 1 -3 |